For CrIr2, DFT lattice parameters and positions (PBE) gives the simulated powder X-ray diffraction pattern in this record (CuKα).
Kinematic intensities with the Lorentz-polarization factor, no thermal factor.

Crystal structure
```
data_CrIr2
_cell_length_a 4.697
_cell_length_b 4.265
_cell_length_c 8.138
_cell_angle_alpha 90.00
_cell_angle_beta 90.00
_cell_angle_gamma 90.00
_space_group_name_H-M_alt 'P n m a'
_space_group_IT_number 62
loop_
_space_group_symop_operation_xyz
'x,y,z'
'-x,-y,-z'
'-x+1/2,-y,z+1/2'
'x+1/2,y,-z+1/2'
'x+1/2,-y+1/2,-z+1/2'
'-x+1/2,y+1/2,z+1/2'
'-x,y+1/2,-z'
'x,-y+1/2,z'
loop_
_atom_site_label
_atom_site_fract_x
_atom_site_fract_y
_atom_site_fract_z
Cr1 0.171 0.250 0.163
Ir1 0.155 0.250 0.829
Ir2 0.169 0.250 0.495
```

Peak list (10 most intense, 2θ from 10° to 80°, in order of rising 2θ)
d 3.778, I 16
d 3.075, I 7
d 2.944, I 6
d 2.495, I 4
d 2.349, I 25
d 2.133, I 25
d 2.057, I 100
d 1.579, I 14
d 1.356, I 17
d 1.216, I 18